[1]
Computed powder XRD pattern of LiHf2Tl2S6 for copper Kα, from a cell relaxed with GGA-PBE.

Top 10 peaks for 10 to 90 degrees two-theta, most intense first:
| 2θ (°) | d_spacing | Rel. int. |
| --- | --- | --- |
| 31.81 | 2.813 | 100.0 |
| 17.80 | 4.983 | 73.8 |
| 43.42 | 2.084 | 56.3 |
| 32.33 | 2.769 | 48.6 |
| 28.44 | 3.139 | 47.4 |
| 15.51 | 5.714 | 41.3 |
| 22.69 | 3.919 | 39.2 |
| 24.69 | 3.606 | 38.2 |
| 48.44 | 1.879 | 31.6 |
| 28.68 | 3.112 | 23.4 |

abc: 6.569 6.569 7.510
angles: 97.91 97.91 120.88
Sites, in units of the cell vectors:
Li1 0.000 0.000 0.000
Hf1 0.334 0.666 0.000
Hf2 0.666 0.334 0.000
Tl1 0.160 0.840 0.500
Tl2 0.840 0.160 0.500
S1 0.060 0.418 0.199
S2 0.283 0.283 0.811
S3 0.418 0.060 0.199
S4 0.582 0.940 0.801
S5 0.717 0.717 0.189
S6 0.940 0.582 0.801

***

[2]
Computed powder XRD pattern of AcCd2BO5 for copper Kα, from a cell relaxed with GGA-PBE.

Top 10 peaks for 10 to 90 degrees two-theta, most intense first:
| 2θ (°) | d_spacing | Rel. int. |
| --- | --- | --- |
| 32.60 | 2.747 | 100.0 |
| 25.87 | 3.444 | 95.2 |
| 44.48 | 2.037 | 64.5 |
| 40.52 | 2.226 | 50.0 |
| 39.57 | 2.278 | 46.1 |
| 32.22 | 2.778 | 42.3 |
| 57.19 | 1.611 | 41.3 |
| 34.07 | 2.631 | 39.9 |
| 60.07 | 1.540 | 33.9 |
| 19.49 | 4.554 | 30.1 |

abc: 6.960 6.960 6.960
angles: 124.87 124.87 81.75
Sites, in units of the cell vectors:
Ac1 0.250 0.250 0.000
Ac2 0.750 0.750 0.000
Cd1 0.166 0.666 0.833
Cd2 0.334 0.166 0.500
Cd3 0.666 0.834 0.500
Cd4 0.834 0.334 0.167
B1 0.250 0.750 0.500
B2 0.750 0.250 0.500
O1 0.000 0.000 0.000
O2 0.031 0.791 0.500
O3 0.209 0.709 0.240
O4 0.291 0.531 0.500
O5 0.469 0.969 0.760
O6 0.500 0.500 0.000
O7 0.531 0.031 0.240
O8 0.709 0.469 0.500
O9 0.791 0.291 0.760
O10 0.969 0.209 0.500

***

[3]
Computed powder XRD pattern of MnGa for copper Kα, from a cell relaxed with GGA-PBE.

Top 10 peaks for 10 to 90 degrees two-theta, most intense first:
| 2θ (°) | d_spacing | Rel. int. |
| --- | --- | --- |
| 48.07 | 1.893 | 100.0 |
| 40.87 | 2.208 | 82.9 |
| 38.41 | 2.344 | 75.8 |
| 45.92 | 1.976 | 75.7 |
| 38.91 | 2.315 | 75.5 |
| 42.58 | 2.123 | 61.6 |
| 69.12 | 1.359 | 55.3 |
| 84.69 | 1.145 | 44.7 |
| 52.96 | 1.729 | 34.4 |
| 86.99 | 1.120 | 28.5 |

abc: 8.636 8.636 8.636
angles: 18.11 18.11 18.11
Sites, in units of the cell vectors:
Mn1 0.000 0.000 0.000
Mn2 0.262 0.262 0.262
Ga1 0.414 0.414 0.414
Ga2 0.514 0.514 0.514